1.
MgCu2Pd9: computed powder XRD pattern (λ = 1.5418 Å (Cu Kα)), based on DFT lattice parameters and positions (GGA-PBE).

Main lines, by angle (2θ = 10–80°):
2θ = 22.70°, I 7
2θ = 32.32°, I 5
2θ = 39.86°, I 100
2θ = 46.36°, I 48
2θ = 52.22°, I 3
2θ = 57.65°, I 2
2θ = 67.66°, I 30
2θ = 72.38°, I 1

Structural model:
Cell: 3.9157 3.9157 11.7566 Å, 90.00 90.00 90.00°
Space group P4/mmm (No. 123)
One atom of each set of equivalent atoms:
Mg 0.0000 0.0000 0.0000 [1 per cell]
Cu 0.0000 0.0000 0.3363 [2 per cell]
Pd 0.0000 0.5000 0.1722 [4 per cell]
Pd 0.0000 0.5000 0.5000 [2 per cell]
Pd 0.5000 0.5000 0.0000 [1 per cell]
Pd 0.5000 0.5000 0.3360 [2 per cell]



2.
Mg4CuPd: computed powder XRD pattern (λ = 1.5418 Å (Cu Kα)), based on DFT lattice parameters and positions (GGA-PBE).

Main lines, by angle (2θ = 10–80°):
2θ = 19.52°, I 100
2θ = 27.74°, I 26
2θ = 35.31°, I 27
2θ = 38.62°, I 59
2θ = 39.64°, I 29
2θ = 43.63°, I 56
2θ = 44.55°, I 49
2θ = 71.25°, I 17

Structural model:
Cell: 6.4312 6.4312 5.4308 Å, 90.00 90.00 90.00°
Space group I422 (No. 97)
One atom of each set of equivalent atoms:
Mg 0.1709 0.3291 0.2500 [8 per cell]
Cu 0.0000 0.0000 0.0000 [2 per cell]
Pd 0.0000 0.0000 0.5000 [2 per cell]